Theoretical powder diffractogram of YFePb2 for Cu Kα X-rays, from a cell relaxed with PBE.
Neutral-atom scattering factors, no anomalous dispersion.

Cell and atoms:
```
YFePb2
1.0
7.387 0.000 0.000
0.000 7.387 0.000
0.000 0.000 7.387
Y Fe Pb
4 4 8
direct
0.000 0.000 0.000
0.000 0.500 0.500
0.500 0.000 0.500
0.500 0.500 0.000
0.250 0.250 0.250
0.250 0.750 0.750
0.750 0.250 0.750
0.750 0.750 0.250
0.000 0.000 0.500
0.000 0.500 0.000
0.250 0.250 0.750
0.250 0.750 0.250
0.500 0.000 0.000
0.500 0.500 0.500
0.750 0.250 0.250
0.750 0.750 0.750
```

Principal peaks in the range 2θ = 10–90°, by angle:
hkl 1 1 1, 2θ 20.83, rel. 24; hkl 2 2 0, 2θ 34.34, rel. 100; hkl 3 1 1, 2θ 40.50, rel. 14; hkl 4 0 0, 2θ 49.35, rel. 18; hkl 3 3 1, 2θ 54.12, rel. 6; hkl 4 2 2, 2θ 61.50, rel. 37; hkl 4 4 0, 2θ 72.36, rel. 12; hkl 6 2 0, 2θ 82.61, rel. 17